Entry 1:
Theoretical X-ray diffraction stick pattern
Compound: Cs2K5As2
Radiation: Cu Kα (weighted mean of Kα1 and Kα2)
Structure: a PBE-relaxed structure
No peak broadening, texture or thermal motion is included.

Crystal structure
Unit cell a=12.868 b=12.868 c=5.774 alpha=90.00 beta=90.00 gamma=150.60
Positions (direct):
Cs1 0.219 0.781 0.000
Cs2 0.781 0.219 0.000
K1 0.109 0.891 0.500
K2 0.399 0.601 0.000
K3 0.500 0.500 0.500
K4 0.601 0.399 0.000
K5 0.891 0.109 0.500
As1 0.346 0.654 0.500
As2 0.654 0.346 0.500

Top 10 peaks for 10° ≤ 2θ ≤ 90°, low angle first:
2θ/deg	intensity
16.93	26
20.99	24
23.19	18
26.45	17
27.31	100
28.58	25
30.97	24
34.70	13
41.76	20
42.65	18

=====

Entry 2:
Theoretical X-ray diffraction stick pattern
Compound: GdAgS2
Radiation: Cu Kα (weighted mean of Kα1 and Kα2)
Structure: a PBE-relaxed structure
No peak broadening, texture or thermal motion is included.

Crystal structure
Unit cell a=7.712 b=7.714 c=12.728 alpha=90.00 beta=90.00 gamma=90.00
Positions (direct):
Gd1 0.000 0.001 0.002
Gd2 0.000 0.501 0.498
Gd3 0.249 0.751 0.752
Gd4 0.251 0.249 0.252
Gd5 0.500 0.499 0.998
Gd6 0.500 0.999 0.502
Gd7 0.749 0.749 0.248
Gd8 0.751 0.251 0.748
Ag1 0.014 0.021 0.569
Ag2 0.230 0.761 0.319
Ag3 0.270 0.239 0.819
Ag4 0.486 0.979 0.069
Ag5 0.514 0.479 0.431
Ag6 0.730 0.739 0.681
Ag7 0.770 0.261 0.181
Ag8 0.986 0.521 0.931
S1 0.023 0.523 0.279
S2 0.029 0.030 0.783
S3 0.221 0.779 0.533
S4 0.227 0.727 0.971
S5 0.273 0.273 0.471
S6 0.279 0.221 0.033
S7 0.471 0.970 0.283
S8 0.477 0.477 0.779
S9 0.523 0.977 0.721
S10 0.529 0.470 0.217
S11 0.721 0.721 0.467
S12 0.727 0.773 0.029
S13 0.773 0.227 0.529
S14 0.779 0.279 0.967
S15 0.971 0.530 0.717
S16 0.977 0.023 0.221

Top 10 peaks for 10° ≤ 2θ ≤ 90°, low angle first:
2θ/deg	intensity
17.69	18
18.07	16
27.04	88
28.04	25
32.84	100
39.05	43
43.72	27
47.13	33
51.92	36
55.18	27

=====

Entry 3:
Theoretical X-ray diffraction stick pattern
Compound: K2Rb4Hg2Au
Radiation: Cu Kα (weighted mean of Kα1 and Kα2)
Structure: a PBE-relaxed structure
No peak broadening, texture or thermal motion is included.

Crystal structure
Unit cell a=6.090 b=8.840 c=10.391 alpha=69.27 beta=73.01 gamma=69.91
Positions (direct):
K1 0.139 0.454 0.268
K2 0.861 0.546 0.732
Rb1 0.141 0.837 0.881
Rb2 0.401 0.821 0.378
Rb3 0.599 0.179 0.622
Rb4 0.859 0.163 0.119
Hg1 0.358 0.365 0.919
Hg2 0.642 0.635 0.081
Au1 0.500 0.000 0.000

Top 10 peaks for 10° ≤ 2θ ≤ 90°, low angle first:
2θ/deg	intensity
15.80	75
19.87	30
23.67	36
24.76	23
26.80	100
29.33	53
30.83	60
33.19	51
35.03	26
37.99	31

=====

Entry 4:
Theoretical X-ray diffraction stick pattern
Compound: Cs2RbPS4
Radiation: Cu Kα (weighted mean of Kα1 and Kα2)
Structure: a PBE-relaxed structure
No peak broadening, texture or thermal motion is included.

Crystal structure
Unit cell a=8.987 b=8.987 c=8.987 alpha=117.21 beta=105.75 gamma=105.75
Positions (direct):
Cs1 0.000 0.000 0.000
Cs2 0.500 0.000 0.000
Cs3 0.500 0.000 0.500
Cs4 0.500 0.500 0.500
Rb1 0.000 0.500 0.500
Rb2 0.500 0.500 0.000
P1 0.000 0.000 0.500
P2 0.000 0.500 0.000
S1 0.198 0.210 0.512
S2 0.198 0.687 0.988
S3 0.199 0.000 0.699
S4 0.199 0.500 0.199
S5 0.801 0.000 0.301
S6 0.801 0.500 0.801
S7 0.802 0.313 0.012
S8 0.802 0.790 0.488

Top 10 peaks for 10° ≤ 2θ ≤ 90°, low angle first:
2θ/deg	intensity
23.19	28
25.13	100
30.12	11
32.35	12
33.03	34
38.46	13
41.95	38
51.58	18
54.40	17
65.13	15

=====

Entry 5:
Theoretical X-ray diffraction stick pattern
Compound: Ba5Hg2Pt
Radiation: Cu Kα (weighted mean of Kα1 and Kα2)
Structure: a PBE-relaxed structure
No peak broadening, texture or thermal motion is included.

Crystal structure
Unit cell a=10.750 b=10.750 c=8.899 alpha=96.88 beta=96.88 gamma=44.40
Positions (direct):
Ba1 0.071 0.929 0.750
Ba2 0.144 0.289 0.305
Ba3 0.280 0.522 0.069
Ba4 0.289 0.144 0.805
Ba5 0.478 0.720 0.431
Ba6 0.522 0.280 0.569
Ba7 0.711 0.856 0.195
Ba8 0.720 0.478 0.931
Ba9 0.856 0.711 0.695
Ba10 0.929 0.071 0.250
Hg1 0.105 0.690 0.429
Hg2 0.310 0.895 0.071
Hg3 0.690 0.105 0.929
Hg4 0.895 0.310 0.571
Pt1 0.000 0.500 0.000
Pt2 0.500 0.000 0.500

Top 10 peaks for 10° ≤ 2θ ≤ 90°, low angle first:
2θ/deg	intensity
19.17	68
25.30	63
26.24	50
27.10	41
28.16	60
29.90	54
31.75	44
32.11	100
36.82	44
42.12	44

=====

Which formula does entry 1 have? Cs2K5As2

=====

Number 2 is which compound? GdAgS2